La5Sm3Cr7FeO24: computed PXRD pattern (a wavelength of 1.5418 Å), based on a structure optimized by DFT (GGA+U).

Crystal structure
```
data_La5Sm3Cr7FeO24
_chemical_formula_sum 'La10 Sm6 Cr14 Fe2 O48'
_space_group_name_H-M_alt 'C 1 m 1'
_space_group_IT_number 8
_cell_length_a 11.095
_cell_length_b 11.094
_cell_length_c 7.844
_cell_angle_alpha 90.00
_cell_angle_beta 90.01
_cell_angle_gamma 90.00
loop_
_space_group_symop_operation_xyz
'x,y,z'
'x,-y,z'
'x+1/2,y+1/2,z'
'x+1/2,-y+1/2,z'
loop_
_atom_site_label
_atom_site_type_symbol
_atom_site_fract_x
_atom_site_fract_y
_atom_site_fract_z
La1 La 0.000 0.000 0.000
La2 La 0.000 0.000 0.500
La3 La 0.000 0.500 0.000
La4 La 0.250 0.250 0.000
Sm1 Sm 0.000 0.500 0.500
Sm2 Sm 0.250 0.250 0.500
Cr1 Cr 0.000 0.250 0.250
Cr2 Cr 0.000 0.250 0.749
Cr3 Cr 0.250 0.000 0.250
Cr4 Cr 0.250 0.000 0.749
Cr5 Cr 0.250 0.500 0.250
Fe1 Fe 0.250 0.500 0.749
O1 O 0.000 0.250 0.000
O2 O 0.000 0.251 0.500
O3 O 0.125 0.125 0.251
O4 O 0.125 0.125 0.749
O5 O 0.125 0.375 0.252
O6 O 0.125 0.375 0.748
O7 O 0.249 0.500 0.499
O8 O 0.250 0.000 0.000
O9 O 0.250 0.500 0.000
O10 O 0.251 0.000 0.500
O11 O 0.374 0.374 0.251
O12 O 0.375 0.125 0.252
O13 O 0.375 0.125 0.748
O14 O 0.375 0.374 0.749
```

Main lines, most intense first (2θ from 10° to 90°):
d/Å, Rel. int., h k l
2.774, 100, 4 0 0
1.601, 38, 6 2 2
1.961, 33, 4 4 0
2.265, 21, 4 0 2
1.387, 19, 8 0 0
3.922, 17, 2 2 0
1.240, 16, 8 4 0
1.754, 9, 6 2 0
1.183, 7, 8 4 2
1.132, 6, 8 0 4
1.307, 5, 8 0 2